1.
The following is a simulated X-ray powder pattern of Ba7AcN3. It was derived from a DFT-relaxed cell (PBE, Alexandria), using Cu Kα (λ = 1.5418 Å).

Main lines, in order of rising 2θ (10 to 90 degrees two-theta):
d (Å), Rel. int., (hkl)
7.367, 15, 0 0 1
3.684, 24, 0 0 2
3.558, 20, 2 0 0
3.204, 100, 2 0 1
2.559, 30, 0 2 2
2.054, 20, 2 2 0
2.021, 21, 2 0 3
1.794, 19, 2 2 2
1.729, 16, 0 4 1
1.636, 11, 0 2 4
1.576, 7, 2 2 3
1.323, 12, 4 2 1

```
data_Ba7AcN3
_chemical_formula_sum 'Ba7 Ac1 N3'
_cell_length_a 8.2167
_cell_length_b 8.2167
_cell_length_c 7.3671
_cell_angle_alpha 90.00
_cell_angle_beta 90.00
_cell_angle_gamma 120.00
_symmetry_space_group_name_H-M 'P 3 m 1'
_symmetry_Int_Tables_number 156
_symmetry_space_group_name_Hall 'P 3 -2"'
loop_
_atom_site_label
_atom_site_type_symbol
_atom_site_fract_x
_atom_site_fract_y
_atom_site_fract_z
_atom_site_occupancy
Ba1 Ba 0.0000 0.0000 0.0000 1
Ba2 Ba 0.0190 0.5095 0.9915 1
Ba3 Ba 0.3151 0.1576 0.4196 1
Ac1 Ac 0.3333 0.6667 0.4078 1
N1 N 0.1847 0.3695 0.2321 1
```

***

2.
The following is a simulated X-ray powder pattern of Ba2AcOs2N6. It was derived from a DFT-relaxed cell (PBE, Alexandria), using Cu Kα (λ = 1.5418 Å).

Main lines, in order of rising 2θ (10 to 90 degrees two-theta):
d (Å), Rel. int., (hkl)
4.719, 10, 0 1 2
3.172, 100, 0 1 5
3.107, 96, 1 1 0
2.220, 40, 2 0 5
1.845, 18, 1 0 10
1.806, 40, 1 2 5
1.794, 20, 3 0 0
1.554, 15, 2 2 0
1.413, 15, 2 1 10
1.395, 17, 3 1 5
1.178, 10, 2 3 5
1.174, 11, 4 1 0

```
data_Ba2AcOs2N6
_chemical_formula_sum 'Ba6 Ac3 Os6 N18'
_cell_length_a 6.2141
_cell_length_b 6.2141
_cell_length_c 19.6351
_cell_angle_alpha 90.00
_cell_angle_beta 90.00
_cell_angle_gamma 120.00
_symmetry_space_group_name_H-M 'R -3 m'
_symmetry_Int_Tables_number 166
_symmetry_space_group_name_Hall '-R 3 2"'
loop_
_atom_site_label
_atom_site_type_symbol
_atom_site_fract_x
_atom_site_fract_y
_atom_site_fract_z
_atom_site_occupancy
Ba1 Ba 0.0000 0.0000 0.2124 1
Ac1 Ac 0.0000 0.0000 0.0000 1
Os1 Os 0.0000 0.0000 0.4075 1
N1 N 0.0078 0.5039 0.2423 1
```

***

3.
The following is a simulated X-ray powder pattern of BaAcOs2N4. It was derived from a DFT-relaxed cell (PBE, Alexandria), using Cu Kα (λ = 1.5418 Å).

Main lines, in order of rising 2θ (10 to 90 degrees two-theta):
d (Å), Rel. int., (hkl)
5.301, 82, 0 1 1
3.494, 92, 0 2 0
3.312, 60, 2 0 0
3.106, 100, 1 1 2
2.809, 33, 2 1 1
2.510, 25, 1 0 3
2.404, 54, 2 2 0
2.039, 29, 1 2 3
1.933, 26, 1 3 2
1.872, 70, 1 1 4
1.492, 34, 1 3 4
1.463, 22, 3 1 4

```
data_BaAcOs2N4
_chemical_formula_sum 'Ba2 Ac2 Os4 N8'
_cell_length_a 6.6246
_cell_length_b 6.9880
_cell_length_c 8.1375
_cell_angle_alpha 90.00
_cell_angle_beta 90.00
_cell_angle_gamma 90.00
_symmetry_space_group_name_H-M 'I 2 2 2'
_symmetry_Int_Tables_number 23
_symmetry_space_group_name_Hall 'I 2 2'
loop_
_atom_site_label
_atom_site_type_symbol
_atom_site_fract_x
_atom_site_fract_y
_atom_site_fract_z
_atom_site_occupancy
Ba1 Ba 0.0000 0.0000 0.0000 1
Ac1 Ac 0.0000 0.0000 0.5000 1
Os1 Os 0.0000 0.5000 0.1486 1
N1 N 0.2377 0.4401 0.7631 1
```

***

4.
The following is a simulated X-ray powder pattern of Ba2AcReN4. It was derived from a DFT-relaxed cell (PBE, Alexandria), using Cu Kα (λ = 1.5418 Å).

Main lines, in order of rising 2θ (10 to 90 degrees two-theta):
d (Å), Rel. int., (hkl)
4.954, 10, 1 0 1
3.173, 51, 2 0 0
2.971, 100, 1 1 2
2.243, 25, 2 2 0
1.790, 45, 1 3 2
1.681, 19, 2 0 4
1.485, 12, 2 2 4
1.419, 10, 2 4 0
1.399, 11, 3 3 2
1.187, 12, 5 1 2
1.154, 11, 4 2 4
1.104, 11, 3 1 6

```
data_Ba2AcReN4
_chemical_formula_sum 'Ba4 Ac2 Re2 N8'
_cell_length_a 6.3451
_cell_length_b 6.3451
_cell_length_c 7.9276
_cell_angle_alpha 90.00
_cell_angle_beta 90.00
_cell_angle_gamma 90.00
_symmetry_space_group_name_H-M 'I -4'
_symmetry_Int_Tables_number 82
_symmetry_space_group_name_Hall 'I -4'
loop_
_atom_site_label
_atom_site_type_symbol
_atom_site_fract_x
_atom_site_fract_y
_atom_site_fract_z
_atom_site_occupancy
Ba1 Ba 0.0000 0.0000 0.0000 1
Ba2 Ba 0.0000 0.5000 0.2500 1
Ac1 Ac 0.0000 0.5000 0.7500 1
Re1 Re 0.0000 0.0000 0.5000 1
N1 N 0.1850 0.2236 0.5722 1
```

***

5.
The following is a simulated X-ray powder pattern of BaAc2WN4. It was derived from a DFT-relaxed cell (PBE, Alexandria), using Cu Kα (λ = 1.5418 Å).

Main lines, in order of rising 2θ (10 to 90 degrees two-theta):
d (Å), Rel. int., (hkl)
3.658, 25, 0 2 3
3.327, 35, 0 4 0
3.285, 49, 0 0 4
3.225, 27, 0 4 1
3.138, 100, 1 1 2
2.780, 33, 1 3 1
2.768, 32, 1 1 3
2.611, 72, 1 3 2
2.444, 28, 0 2 5
1.939, 24, 1 5 3
1.930, 27, 1 3 5
1.613, 29, 0 8 2

```
data_BaAc2WN4
_chemical_formula_sum 'Ba4 Ac8 W4 N16'
_cell_length_a 3.7076
_cell_length_b 13.3088
_cell_length_c 13.1380
_cell_angle_alpha 90.00
_cell_angle_beta 90.00
_cell_angle_gamma 90.00
_symmetry_space_group_name_H-M 'C m c m'
_symmetry_Int_Tables_number 63
_symmetry_space_group_name_Hall '-C 2c 2'
loop_
_atom_site_label
_atom_site_type_symbol
_atom_site_fract_x
_atom_site_fract_y
_atom_site_fract_z
_atom_site_occupancy
Ba1 Ba 0.0000 0.0786 0.2500 1
Ac1 Ac 0.0000 0.3698 0.0382 1
W1 W 0.0000 0.1846 0.7500 1
N1 N 0.0000 0.0000 0.0000 1
N2 N 0.0000 0.2628 0.6313 1
N3 N 0.0000 0.3820 0.2500 1
```

***

6.
The following is a simulated X-ray powder pattern of BaAc8Ni4. It was derived from a DFT-relaxed cell (PBE, Alexandria), using Cu Kα (λ = 1.5418 Å).

Main lines, in order of rising 2θ (10 to 90 degrees two-theta):
d (Å), Rel. int., (hkl)
3.496, 25, 3 3 0
3.315, 100, 3 0 1
2.909, 15, 1 5 0
2.802, 11, 4 1 1
2.472, 16, 6 0 0
2.233, 12, 0 0 2
2.056, 29, 4 5 1
1.982, 12, 6 3 1
1.853, 13, 4 2 2
1.658, 14, 4 8 0
1.426, 10, 3 0 3
1.332, 12, 4 8 2

```
data_BaAc8Ni4
_chemical_formula_sum 'Ba2 Ac16 Ni8'
_cell_length_a 14.8327
_cell_length_b 14.8327
_cell_length_c 4.4660
_cell_angle_alpha 90.00
_cell_angle_beta 90.00
_cell_angle_gamma 90.00
_symmetry_space_group_name_H-M 'I 4/m'
_symmetry_Int_Tables_number 87
_symmetry_space_group_name_Hall '-I 4'
loop_
_atom_site_label
_atom_site_type_symbol
_atom_site_fract_x
_atom_site_fract_y
_atom_site_fract_z
_atom_site_occupancy
Ba1 Ba 0.0000 0.0000 0.0000 1
Ac1 Ac 0.0429 0.3345 0.0000 1
Ac2 Ac 0.1490 0.8063 0.5000 1
Ni1 Ni 0.1543 0.6738 0.0000 1
```

***

7.
The following is a simulated X-ray powder pattern of BaAcNi10. It was derived from a DFT-relaxed cell (PBE, Alexandria), using Cu Kα (λ = 1.5418 Å).

Main lines, in order of rising 2θ (10 to 90 degrees two-theta):
d (Å), Rel. int., (hkl)
3.958, 7, 1 0 0
2.961, 54, 1 1 1
2.576, 35, 0 2 0
2.231, 37, 0 0 4
2.159, 100, 1 2 0
1.979, 23, 2 0 0
1.569, 15, 2 2 0
1.551, 16, 1 3 1
1.480, 20, 2 0 4
1.392, 23, 1 3 3
1.288, 16, 0 4 0
1.174, 13, 3 2 0

```
data_BaAcNi10
_chemical_formula_sum 'Ba1 Ac1 Ni10'
_cell_length_a 3.9579
_cell_length_b 5.1517
_cell_length_c 8.9210
_cell_angle_alpha 90.00
_cell_angle_beta 90.00
_cell_angle_gamma 90.00
_symmetry_space_group_name_H-M 'P m m m'
_symmetry_Int_Tables_number 47
_symmetry_space_group_name_Hall '-P 2 2'
loop_
_atom_site_label
_atom_site_type_symbol
_atom_site_fract_x
_atom_site_fract_y
_atom_site_fract_z
_atom_site_occupancy
Ba1 Ba 0.0000 0.0000 0.0000 1
Ac1 Ac 0.0000 0.5000 0.5000 1
Ni1 Ni 0.0000 0.0000 0.3371 1
Ni2 Ni 0.0000 0.5000 0.1710 1
Ni3 Ni 0.5000 0.0000 0.5000 1
Ni4 Ni 0.5000 0.2539 0.2558 1
Ni5 Ni 0.5000 0.5000 0.0000 1
```

***

8.
The following is a simulated X-ray powder pattern of Ba3AcO4. It was derived from a DFT-relaxed cell (PBE, Alexandria), using Cu Kα (λ = 1.5418 Å).

Main lines, in order of rising 2θ (10 to 90 degrees two-theta):
d (Å), Rel. int., (hkl)
5.527, 7, 1 0 0
3.908, 6, 1 1 0
3.191, 100, 1 1 1
2.764, 81, 2 0 0
2.472, 4, 2 1 0
1.954, 58, 2 2 0
1.666, 48, 3 1 1
1.596, 20, 2 2 2
1.382, 9, 4 0 0
1.268, 20, 3 3 1
1.236, 25, 4 2 0
1.128, 19, 4 2 2

```
data_Ba3AcO4
_chemical_formula_sum 'Ba3 Ac1 O4'
_cell_length_a 5.5271
_cell_length_b 5.5271
_cell_length_c 5.5271
_cell_angle_alpha 90.00
_cell_angle_beta 90.00
_cell_angle_gamma 90.00
_symmetry_space_group_name_H-M 'P m -3 m'
_symmetry_Int_Tables_number 221
_symmetry_space_group_name_Hall '-P 4 2 3'
loop_
_atom_site_label
_atom_site_type_symbol
_atom_site_fract_x
_atom_site_fract_y
_atom_site_fract_z
_atom_site_occupancy
Ba1 Ba 0.0000 0.0000 0.5000 1
Ac1 Ac 0.5000 0.5000 0.5000 1
O1 O 0.0000 0.0000 0.0000 1
O2 O 0.0000 0.5000 0.5000 1
```